(1)
Starting from a cell relaxed with PBE, the powder diffractogram of Ga4O5 was simulated for Cu Kα.
Peak positions follow from Bragg's law for the DFT cell and can differ from measured ones.

Atomic structure:
```
Ga4O5
1.0
0.000 4.878 4.972
4.451 0.000 4.972
4.451 4.878 0.000
Ga O
8 10
direct
0.153 0.247 0.765
0.235 0.665 0.847
0.247 0.153 0.335
0.335 0.765 0.247
0.665 0.235 0.753
0.753 0.847 0.665
0.765 0.335 0.153
0.847 0.753 0.235
0.055 0.676 0.426
0.125 0.125 0.125
0.324 0.945 0.656
0.344 0.426 0.676
0.426 0.344 0.055
0.574 0.656 0.945
0.656 0.574 0.324
0.676 0.055 0.344
0.875 0.875 0.875
0.945 0.324 0.574
```

Main lines, in order of falling intensity (10° ≤ 2θ ≤ 90°):
d = 2.743 Å, I 100
d = 2.960 Å, I 57
d = 2.920 Å, I 32
d = 2.226 Å, I 30
d = 1.621 Å, I 28
d = 1.873 Å, I 25
d = 1.904 Å, I 19
d = 2.439 Å, I 17
d = 1.629 Å, I 16
d = 1.365 Å, I 15

(2)
Starting from a cell relaxed with PBE, the powder diffractogram of TmB2C2 was simulated for Cu Kα.
Peak positions follow from Bragg's law for the DFT cell and can differ from measured ones.

Atomic structure:
```
TmB2C2
1.0
3.786 0.000 0.000
0.000 3.786 0.000
0.000 0.000 6.995
Tm B C
2 4 4
direct
0.000 0.000 0.250
0.000 0.000 0.750
0.215 0.500 0.000
0.500 0.215 0.500
0.500 0.785 0.500
0.785 0.500 0.000
0.188 0.500 0.500
0.500 0.188 0.000
0.500 0.812 0.000
0.812 0.500 0.500
```

Main lines, in order of falling intensity (10° ≤ 2θ ≤ 90°):
d = 2.569 Å, I 100
d = 3.786 Å, I 98
d = 2.126 Å, I 57
d = 2.677 Å, I 42
d = 1.693 Å, I 30
d = 1.524 Å, I 29
d = 3.497 Å, I 27
d = 1.665 Å, I 23
d = 1.216 Å, I 20
d = 1.893 Å, I 18